(1)
Structure and computed X-ray powder pattern of LiSmZnSe3 (a GGA-PBE-relaxed structure; Cu Kα, 1.54184 Å).
Neutral-atom scattering factors, no anomalous dispersion.

Principal peaks in the range 10° ≤ 2θ ≤ 90°, most intense first:
h k l, d [Å], I/Imax
0 0 2, 5.862, 100
1 1 1, 3.675, 95
0 2 0, 2.045, 91
1 1 3, 2.750, 85
1 1 4, 2.336, 73
1 0 1, 8.385, 71
4 0 1, 2.906, 71
3 1 2, 2.570, 67
1 1 2, 3.230, 56
5 1 3, 1.829, 55

Cell and atoms:
```
data_LiSmZnSe3
_cell_length_a 11.9967
_cell_length_b 4.0888
_cell_length_c 11.7231
_cell_angle_alpha 90.00
_cell_angle_beta 90.00
_cell_angle_gamma 90.00
_space_group_name_H-M_alt 'P n m a'
_space_group_IT_number 62
loop_
_space_group_symop_operation_xyz
'x,y,z'
'-x,-y,-z'
'-x+1/2,-y,z+1/2'
'x+1/2,y,-z+1/2'
'x+1/2,-y+1/2,-z+1/2'
'-x+1/2,y+1/2,z+1/2'
'-x,y+1/2,-z'
'x,-y+1/2,z'
loop_
_atom_site_label
_atom_site_type_symbol
_atom_site_fract_x
_atom_site_fract_y
_atom_site_fract_z
_atom_site_occupancy
Li1 Li 0.1203 0.2500 0.0114 1
Sm1 Sm 0.0363 0.2500 0.6800 1
Zn1 Zn 0.2406 0.2500 0.2895 1
Se1 Se 0.0665 0.7500 0.8636 1
Se2 Se 0.0946 0.2500 0.4303 1
Se3 Se 0.2144 0.7500 0.1674 1
```


(2)
Structure and computed X-ray powder pattern of Li2ZnSnSe4 (a GGA-PBE-relaxed structure; Cu Kα, 1.54184 Å).
Neutral-atom scattering factors, no anomalous dispersion.

Principal peaks in the range 10° ≤ 2θ ≤ 90°, most intense first:
h k l, d [Å], I/Imax
0 1 2, 3.611, 100
0 3 2, 2.063, 99
2 0 -2, 3.382, 96
3 1 -1, 1.912, 94
1 1 1, 3.185, 89
1 0 0, 5.264, 69
0 1 1, 5.422, 60
0 2 0, 3.554, 59
2 3 0, 1.761, 56
0 0 4, 2.096, 48

Cell and atoms:
```
data_Li2ZnSnSe4
_cell_length_a 6.7631
_cell_length_b 7.1084
_cell_length_c 10.7639
_cell_angle_alpha 90.00
_cell_angle_beta 128.85
_cell_angle_gamma 90.00
_space_group_name_H-M_alt 'P 1 c 1'
_space_group_IT_number 7
loop_
_space_group_symop_operation_xyz
'x,y,z'
'x,-y,z+1/2'
loop_
_atom_site_label
_atom_site_type_symbol
_atom_site_fract_x
_atom_site_fract_y
_atom_site_fract_z
_atom_site_occupancy
Li1 Li 0.0000 0.1608 0.0000 1
Li2 Li 0.7465 0.3349 0.2450 1
Zn1 Zn 0.2521 0.3256 0.7491 1
Sn1 Sn 0.5008 0.1716 0.4974 1
Se1 Se 0.1274 0.3441 0.2476 1
Se2 Se 0.3724 0.1690 0.9936 1
Se3 Se 0.6209 0.3298 0.7503 1
Se4 Se 0.8836 0.1796 0.5002 1
```


(3)
Structure and computed X-ray powder pattern of LiTa3Se5 (a GGA-PBE-relaxed structure; Cu Kα, 1.54184 Å).
Neutral-atom scattering factors, no anomalous dispersion.

Principal peaks in the range 10° ≤ 2θ ≤ 90°, most intense first:
h k l, d [Å], I/Imax
0 0 1, 7.665, 100
2 0 2, 2.102, 45
2 0 1, 2.389, 42
1 0 0, 5.028, 23
2 0 3, 1.792, 17
1 1 2, 2.314, 16
2 0 0, 2.514, 13
0 0 3, 2.555, 11
2 2 0, 1.451, 10
2 2 4, 1.157, 9

Cell and atoms:
```
data_LiTa3Se5
_cell_length_a 5.8059
_cell_length_b 5.8059
_cell_length_c 7.6649
_cell_angle_alpha 90.00
_cell_angle_beta 90.00
_cell_angle_gamma 120.00
_space_group_name_H-M_alt 'P 6/m m m'
_space_group_IT_number 191
_space_group_name_Hall '-P 6 2'
loop_
_atom_site_label
_atom_site_type_symbol
_atom_site_fract_x
_atom_site_fract_y
_atom_site_fract_z
_atom_site_occupancy
Li1 Li 0.0000 0.0000 0.0000 1
Ta1 Ta 0.0000 0.5000 0.5000 1
Se1 Se 0.0000 0.0000 0.5000 1
Se2 Se 0.3333 0.6667 0.2333 1
```